Structure and theoretical powder X-ray diffraction pattern of KNaBe2I6 (a structure optimized by DFT (GGA-PBE); a wavelength of 1.5418 Å).
No peak broadening, texture or thermal motion is included.

The 10 most intense peaks (15 to 90 degrees two-theta), in order of rising 2θ:
2θ/deg  I/Imax  hkl
19.94  846  2 0 -2
21.83  374  0 4 0
24.96  253  0 4 1
25.09  218  2 4 -1
25.30  968  2 2 1
25.66  1000  4 2 -1
29.75  631  2 4 -2
35.27  222  0 6 1
38.09  274  0 2 3
38.85  236  6 2 -3

Atomic structure:
Lattice parameters (Å, degrees): 15.515 16.282 8.907 90.00 123.78 90.00
Space group C2/c (No. 15)
Asymmetric unit:
K1 0.000 0.244 0.250 (multiplicity 4)
Na1 0.000 0.250 0.750 (multiplicity 4)
Be1 0.247 0.318 0.233 (multiplicity 8)
I1 0.091 0.387 0.057 (multiplicity 8)
I2 0.098 0.111 0.637 (multiplicity 8)
I3 0.248 0.178 0.274 (multiplicity 8)

***

Structure and theoretical powder X-ray diffraction pattern of RbU2AgS6 (a structure optimized by DFT (GGA-PBE); a wavelength of 1.5418 Å).
No peak broadening, texture or thermal motion is included.

The 10 most intense peaks (15 to 90 degrees two-theta), in order of rising 2θ:
2θ/deg  I/Imax  hkl
17.50  836  0 1 2
24.30  887  1 0 4
25.39  1000  1 1 0
35.43  605  0 2 4
39.06  552  2 -1 6
40.49  192  1 2 2
44.09  405  2 1 4
44.75  352  3 0 0
52.15  213  2 2 0
58.33  155  1 3 4

Atomic structure:
Lattice parameters (Å, degrees): 7.0162 7.0162 18.3605 90.00 90.00 120.00
Space group R3 (No. 146, hexagonal axes)
Asymmetric unit:
Rb1 0.0000 0.0000 0.0000 (multiplicity 3)
U1 0.0000 0.0000 0.2468 (multiplicity 3)
U2 0.0000 0.0000 0.7568 (multiplicity 3)
Ag1 0.0000 0.0000 0.4415 (multiplicity 3)
S1 0.0433 0.3363 0.8333 (multiplicity 9)
S2 0.1274 0.7923 0.3335 (multiplicity 9)